Computed powder XRD pattern
Compound: K2Li2TiO4
Radiation: Cu Ka
Structure: a DFT-relaxed cell (PBE, Alexandria)

The 10 most intense peaks (10° ≤ 2θ ≤ 90°), sorted by position:
2θ (°), intensity, (hkl)
21.51, 97.8, 1 1 -2
26.57, 100.0, 0 2 2
26.94, 51.3, 1 2 0
30.69, 74.4, 1 0 -4
31.84, 86.7, 0 0 4
33.02, 77.2, 2 0 0
33.42, 40.2, 2 1 -2
34.77, 52.8, 2 1 0
35.94, 99.3, 1 3 -1
59.18, 51.0, 3 3 -3

Crystal structure
abc: 5.739 8.354 11.892
angles: 90.00 109.03 90.00
Fractional coordinates of all 36 atoms:
K (0.172, 0.008, 0.321)
K (0.172, 0.492, 0.821)
K (0.220, 0.200, 0.597)
K (0.220, 0.300, 0.097)
K (0.780, 0.700, 0.903)
K (0.780, 0.800, 0.403)
K (0.828, 0.508, 0.179)
K (0.828, 0.992, 0.679)
Li (0.130, 0.016, 0.931)
Li (0.130, 0.484, 0.431)
Li (0.395, 0.562, 0.308)
Li (0.395, 0.938, 0.808)
Li (0.605, 0.062, 0.192)
Li (0.605, 0.438, 0.692)
Li (0.870, 0.516, 0.569)
Li (0.870, 0.984, 0.069)
Ti (0.384, 0.704, 0.580)
Ti (0.384, 0.796, 0.080)
Ti (0.616, 0.204, 0.920)
Ti (0.616, 0.296, 0.420)
O (0.233, 0.520, 0.610)
O (0.233, 0.980, 0.110)
O (0.286, 0.159, 0.849)
O (0.286, 0.341, 0.349)
O (0.292, 0.704, 0.417)
O (0.292, 0.796, 0.917)
O (0.303, 0.607, 0.137)
O (0.303, 0.893, 0.637)
O (0.697, 0.107, 0.363)
O (0.697, 0.393, 0.863)
O (0.708, 0.204, 0.083)
O (0.708, 0.296, 0.583)
O (0.714, 0.659, 0.651)
O (0.714, 0.841, 0.151)
O (0.767, 0.020, 0.890)
O (0.767, 0.480, 0.390)